Structure and simulated powder diffraction line list of KGdB4H16 (a DFT-relaxed cell (PBE, OQMD); a wavelength of 1.5418 Å).
Neutral-atom scattering factors, no anomalous dispersion.

Lattice parameters (Å, degrees): 7.905 7.031 7.708 90.00 104.84 90.00
Space group P2_1/c (No. 14)
Symmetry-distinct sites (fractional):
K 0.000 0.000 0.000 [2 per cell]
Gd 0.500 0.000 0.500 [2 per cell]
B 0.202 0.145 0.388 [4 per cell]
B 0.358 0.679 0.302 [4 per cell]
H 0.059 0.213 0.325 [4 per cell]
H 0.190 0.526 0.918 [4 per cell]
H 0.206 0.643 0.236 [4 per cell]
H 0.281 0.219 0.531 [4 per cell]
H 0.295 0.164 0.283 [4 per cell]
H 0.388 0.689 0.467 [4 per cell]
H 0.397 0.671 0.738 [4 per cell]
H 0.458 0.553 0.279 [4 per cell]

Principal peaks in the range 2θ from 10° to 90°, low angle first:
| 2θ/deg | intensity | (hkl) |
| --- | --- | --- |
| 11.58 | 636 | 1 0 0 |
| 17.34 | 498 | 0 1 1 |
| 19.11 | 1000 | 1 1 -1 |
| 22.56 | 639 | 1 1 1 |
| 23.28 | 251 | 2 0 0 |
| 34.67 | 251 | 2 2 0 |
| 37.34 | 267 | 1 1 -3 |
| 43.03 | 252 | 1 3 1 |



Structure and simulated powder diffraction line list of GdBH8SO10 (a DFT-relaxed cell (PBE, OQMD); a wavelength of 1.5418 Å).
Neutral-atom scattering factors, no anomalous dispersion.

Lattice parameters (Å, degrees): 6.047 9.122 6.615 90.00 93.08 90.00
Space group P2_1/m (No. 11)
Symmetry-distinct sites (fractional):
Gd 0.182 0.250 0.269 [2 per cell]
B 0.322 0.750 0.745 [2 per cell]
H 0.029 0.048 0.719 [4 per cell]
H 0.122 0.562 0.094 [4 per cell]
H 0.230 0.750 0.443 [2 per cell]
H 0.273 0.750 0.045 [2 per cell]
H 0.418 0.535 0.690 [4 per cell]
S 0.335 0.250 0.727 [2 per cell]
O 0.095 0.502 0.213 [4 per cell]
O 0.158 0.750 0.573 [2 per cell]
O 0.178 0.750 0.918 [2 per cell]
O 0.230 0.250 0.922 [2 per cell]
O 0.256 0.119 0.604 [4 per cell]
O 0.422 0.750 0.250 [2 per cell]
O 0.478 0.626 0.749 [4 per cell]

Principal peaks in the range 2θ from 10° to 90°, low angle first:
| 2θ/deg | intensity | (hkl) |
| --- | --- | --- |
| 16.57 | 744 | 0 1 1 |
| 17.61 | 1000 | 1 1 0 |
| 19.45 | 979 | 0 2 0 |
| 21.71 | 247 | 1 1 -1 |
| 27.00 | 426 | 0 0 2 |
| 33.10 | 258 | 1 1 2 |
| 33.49 | 203 | 0 2 2 |
| 35.66 | 185 | 2 2 0 |



Structure and simulated powder diffraction line list of GdHoB2Ir2O2 (a DFT-relaxed cell (PBE, OQMD); a wavelength of 1.5418 Å).
Neutral-atom scattering factors, no anomalous dispersion.

Lattice parameters (Å, degrees): 3.824 3.824 7.249 90.00 90.00 90.00
Space group P4mm (No. 99)
Symmetry-distinct sites (fractional):
Gd 0.000 0.000 0.000 [1 per cell]
Ho 0.500 0.500 0.371 [1 per cell]
B 0.000 0.000 0.531 [1 per cell]
B 0.500 0.500 0.838 [1 per cell]
Ir 0.000 0.500 0.683 [2 per cell]
O 0.000 0.000 0.321 [1 per cell]
O 0.500 0.500 0.050 [1 per cell]

Principal peaks in the range 2θ from 10° to 90°, low angle first:
| 2θ/deg | intensity | (hkl) |
| --- | --- | --- |
| 12.21 | 667 | 0 0 1 |
| 26.35 | 505 | 1 0 1 |
| 35.43 | 1000 | 1 1 1 |
| 37.21 | 389 | 0 0 3 |
| 41.67 | 882 | 1 1 2 |
| 47.55 | 451 | 2 0 0 |
| 61.88 | 354 | 2 0 3 |
| 84.45 | 236 | 3 1 2 |